This entry pairs a crystal structure of Ba2Sn3SbPd4 with its theoretical powder diffractogram. Radiation: Cu Ka. Structure: a structure optimized by DFT (GGA-PBE).
Lines closer than 0.1° are merged.

a b c (Å): 4.806 4.806 10.882
angles (deg): 90.00 90.00 90.00
Space group P-4m2 (No. 115)
One atom of each set of equivalent atoms:
Ba: 0.000 0.500 0.248 (multiplicity 2)
Sn: 0.000 0.500 0.883 (multiplicity 2)
Sn: 0.500 0.500 0.500 (multiplicity 1)
Sb: 0.000 0.000 0.500 (multiplicity 1)
Pd: 0.000 0.000 0.000 (multiplicity 1)
Pd: 0.000 0.500 0.628 (multiplicity 2)
Pd: 0.500 0.500 0.000 (multiplicity 1)

Most intense lines, 5 to 70 degrees two-theta, by intensity:
- 2θ = 31.03°, d = 2.882 Å, rel. 100, hkl 1 1 2
- 2θ = 37.43°, d = 2.403 Å, rel. 85, hkl 2 0 0
- 2θ = 30.89°, d = 2.895 Å, rel. 75, hkl 1 0 3
- 2θ = 49.28°, d = 1.849 Å, rel. 40, hkl 2 1 3
- 2θ = 42.57°, d = 2.124 Å, rel. 36, hkl 1 1 4
- 2θ = 63.55°, d = 1.464 Å, rel. 35, hkl 3 1 2
- 2θ = 53.97°, d = 1.699 Å, rel. 29, hkl 2 2 0
- 2θ = 57.61°, d = 1.600 Å, rel. 21, hkl 1 1 6
- 2θ = 45.77°, d = 1.983 Å, rel. 21, hkl 1 0 5
- 2θ = 60.55°, d = 1.529 Å, rel. 18, hkl 2 1 5

=====

This entry pairs a crystal structure of BaPdSe with its theoretical powder diffractogram. Radiation: Cu Ka. Structure: a structure optimized by DFT (GGA-PBE).
Lines closer than 0.1° are merged.

a b c (Å): 4.5563 4.5563 8.8285
angles (deg): 90.00 90.00 120.00
Space group P6_3/mmc (No. 194)
One atom of each set of equivalent atoms:
Ba: 0.0000 0.0000 0.0000 (multiplicity 2)
Pd: 0.3333 0.6667 0.2500 (multiplicity 2)
Se: 0.3333 0.6667 0.7500 (multiplicity 2)

Most intense lines, 5 to 70 degrees two-theta, by intensity:
- 2θ = 30.38°, d = 2.942 Å, rel. 100, hkl 1 0 2
- 2θ = 39.56°, d = 2.278 Å, rel. 49, hkl 1 1 0
- 2θ = 58.20°, d = 1.585 Å, rel. 31, hkl 1 1 4
- 2θ = 50.68°, d = 1.801 Å, rel. 23, hkl 2 0 2
- 2θ = 66.13°, d = 1.413 Å, rel. 21, hkl 2 1 2
- 2θ = 40.89°, d = 2.207 Å, rel. 15, hkl 0 0 4
- 2θ = 68.00°, d = 1.379 Å, rel. 10, hkl 1 0 6
- 2θ = 20.12°, d = 4.414 Å, rel. 3, hkl 0 0 2
- 2θ = 22.53°, d = 3.946 Å, rel. 3, hkl 1 0 0
- 2θ = 44.77°, d = 2.024 Å, rel. 2, hkl 1 1 2

=====

This entry pairs a crystal structure of Ba5PdSe4 with its theoretical powder diffractogram. Radiation: Cu Ka. Structure: a structure optimized by DFT (GGA-PBE).
Lines closer than 0.1° are merged.

a b c (Å): 4.714 4.714 33.338
angles (deg): 90.00 90.00 90.00
Space group I4/mmm (No. 139)
One atom of each set of equivalent atoms:
Ba: 0.000 0.000 0.000 (multiplicity 2)
Ba: 0.000 0.000 0.200 (multiplicity 4)
Ba: 0.000 0.000 0.401 (multiplicity 4)
Pd: 0.000 0.000 0.500 (multiplicity 2)
Se: 0.000 0.000 0.100 (multiplicity 4)
Se: 0.000 0.000 0.300 (multiplicity 4)

Most intense lines, 5 to 70 degrees two-theta, by intensity:
- 2θ = 26.74°, d = 3.334 Å, rel. 100, hkl 1 1 0
- 2θ = 38.18°, d = 2.357 Å, rel. 77, hkl 2 0 0
- 2θ = 62.28°, d = 1.491 Å, rel. 36, hkl 3 1 0
- 2θ = 47.23°, d = 1.925 Å, rel. 28, hkl 2 0 10
- 2θ = 69.01°, d = 1.361 Å, rel. 27, hkl 3 1 10
- 2θ = 55.10°, d = 1.667 Å, rel. 13, hkl 2 2 0
- 2θ = 23.11°, d = 3.849 Å, rel. 8, hkl 1 0 5
- 2θ = 45.10°, d = 2.010 Å, rel. 4, hkl 2 1 5
- 2θ = 60.53°, d = 1.530 Å, rel. 2, hkl 3 0 5
- 2θ = 5.30°, d = 16.669 Å, rel. 1, hkl 0 0 2

=====

This entry pairs a crystal structure of Ba2Si2Pd with its theoretical powder diffractogram. Radiation: Cu Ka. Structure: a structure optimized by DFT (GGA-PBE).
Lines closer than 0.1° are merged.

a b c (Å): 4.698 4.442 13.107
angles (deg): 90.00 90.00 90.00
Space group Amm2 (No. 38)
One atom of each set of equivalent atoms:
Ba: 0.000 0.000 0.000 (multiplicity 2)
Ba: 0.000 0.000 0.252 (multiplicity 2)
Si: 0.500 0.000 0.435 (multiplicity 2)
Si: 0.500 0.000 0.617 (multiplicity 2)
Pd: 0.500 0.000 0.818 (multiplicity 2)

Most intense lines, 5 to 70 degrees two-theta, by intensity:
- 2θ = 28.48°, d = 3.134 Å, rel. 100, hkl 1 1 1
- 2θ = 34.55°, d = 2.596 Å, rel. 66, hkl 1 1 3
- 2θ = 33.34°, d = 2.687 Å, rel. 45, hkl 1 0 4
- 2θ = 39.94°, d = 2.258 Å, rel. 31, hkl 0 1 5
- 2θ = 38.32°, d = 2.349 Å, rel. 28, hkl 2 0 0
- 2θ = 40.62°, d = 2.221 Å, rel. 23, hkl 0 2 0
- 2θ = 53.53°, d = 1.712 Å, rel. 23, hkl 1 2 4
- 2θ = 21.12°, d = 4.207 Å, rel. 22, hkl 0 1 1
- 2θ = 56.54°, d = 1.628 Å, rel. 22, hkl 2 1 5
- 2θ = 27.22°, d = 3.277 Å, rel. 21, hkl 0 0 4

=====

This entry pairs a crystal structure of BaSiPd3 with its theoretical powder diffractogram. Radiation: Cu Ka. Structure: a structure optimized by DFT (GGA-PBE).
Lines closer than 0.1° are merged.

a b c (Å): 5.939 9.474 7.653
angles (deg): 90.00 90.00 90.00
Space group Imma (No. 74)
One atom of each set of equivalent atoms:
Ba: 0.000 0.250 0.061 (multiplicity 4)
Si: 0.000 0.000 0.500 (multiplicity 4)
Pd: 0.000 0.250 0.592 (multiplicity 4)
Pd: 0.250 0.038 0.750 (multiplicity 8)

Most intense lines, 5 to 70 degrees two-theta, by intensity:
- 2θ = 35.69°, d = 2.516 Å, rel. 100, hkl 2 2 0
- 2θ = 30.02°, d = 2.977 Å, rel. 90, hkl 0 2 2
- 2θ = 29.32°, d = 3.046 Å, rel. 76, hkl 1 1 2
- 2θ = 38.37°, d = 2.346 Å, rel. 75, hkl 2 0 2
- 2θ = 37.99°, d = 2.368 Å, rel. 40, hkl 0 4 0
- 2θ = 40.01°, d = 2.253 Å, rel. 32, hkl 1 3 2
- 2θ = 55.10°, d = 1.667 Å, rel. 30, hkl 2 4 2
- 2θ = 14.88°, d = 5.953 Å, rel. 21, hkl 0 1 1
- 2θ = 51.07°, d = 1.788 Å, rel. 19, hkl 1 1 4
- 2θ = 51.51°, d = 1.774 Å, rel. 19, hkl 0 2 4

=====

This entry pairs a crystal structure of Ba3Si9Pd2 with its theoretical powder diffractogram. Radiation: Cu Ka. Structure: a structure optimized by DFT (GGA-PBE).
Lines closer than 0.1° are merged.

a b c (Å): 4.153 11.487 12.407
angles (deg): 90.00 90.00 90.00
Space group Immm (No. 71)
One atom of each set of equivalent atoms:
Ba: 0.000 0.000 0.000 (multiplicity 2)
Ba: 0.000 0.000 0.297 (multiplicity 4)
Si: 0.000 0.284 0.135 (multiplicity 8)
Si: 0.000 0.331 0.337 (multiplicity 8)
Si: 0.000 0.500 0.000 (multiplicity 2)
Pd: 0.000 0.205 0.500 (multiplicity 4)

Most intense lines, 5 to 70 degrees two-theta, by intensity:
- 2θ = 34.36°, d = 2.610 Å, rel. 100, hkl 1 2 3
- 2θ = 31.83°, d = 2.812 Å, rel. 80, hkl 0 3 3
- 2θ = 22.79°, d = 3.901 Å, rel. 69, hkl 1 1 0
- 2θ = 35.00°, d = 2.563 Å, rel. 33, hkl 1 3 2
- 2θ = 31.14°, d = 2.872 Å, rel. 29, hkl 0 4 0
- 2θ = 37.02°, d = 2.428 Å, rel. 29, hkl 1 1 4
- 2θ = 43.59°, d = 2.076 Å, rel. 29, hkl 2 0 0
- 2θ = 27.46°, d = 3.248 Å, rel. 29, hkl 1 2 1
- 2θ = 54.39°, d = 1.687 Å, rel. 28, hkl 1 5 4
- 2θ = 54.99°, d = 1.670 Å, rel. 21, hkl 2 3 3

=====

This entry pairs a crystal structure of Ba2Sn3Pd6 with its theoretical powder diffractogram. Radiation: Cu Ka. Structure: a structure optimized by DFT (GGA-PBE).
Lines closer than 0.1° are merged.

a b c (Å): 8.0576 8.0576 4.6936
angles (deg): 90.00 90.00 120.00
Space group P-62m (No. 189)
One atom of each set of equivalent atoms:
Ba: 0.3333 0.6667 0.0000 (multiplicity 2)
Sn: 0.0000 0.3568 0.5000 (multiplicity 3)
Pd: 0.0000 0.1962 0.0000 (multiplicity 3)
Pd: 0.0000 0.6977 0.5000 (multiplicity 3)

Most intense lines, 5 to 70 degrees two-theta, by intensity:
- 2θ = 29.21°, d = 3.057 Å, rel. 100, hkl 1 1 1
- 2θ = 39.18°, d = 2.299 Å, rel. 57, hkl 2 1 1
- 2θ = 38.71°, d = 2.326 Å, rel. 45, hkl 3 0 0
- 2θ = 38.36°, d = 2.347 Å, rel. 37, hkl 0 0 2
- 2θ = 55.63°, d = 1.652 Å, rel. 31, hkl 3 0 2
- 2θ = 64.32°, d = 1.448 Å, rel. 30, hkl 4 1 1
- 2θ = 43.42°, d = 2.084 Å, rel. 19, hkl 3 0 1
- 2θ = 49.22°, d = 1.851 Å, rel. 18, hkl 2 2 1
- 2θ = 33.99°, d = 2.637 Å, rel. 17, hkl 2 1 0
- 2θ = 63.82°, d = 1.458 Å, rel. 11, hkl 1 1 3

=====

This entry pairs a crystal structure of BaSn4Pd4 with its theoretical powder diffractogram. Radiation: Cu Ka. Structure: a structure optimized by DFT (GGA-PBE).
Lines closer than 0.1° are merged.

a b c (Å): 9.282 9.282 5.163
angles (deg): 90.00 90.00 90.00
Space group I4/m (No. 87)
One atom of each set of equivalent atoms:
Ba: 0.000 0.000 0.000 (multiplicity 2)
Sn: 0.115 0.626 0.500 (multiplicity 8)
Pd: 0.173 0.319 0.500 (multiplicity 8)

Most intense lines, 5 to 70 degrees two-theta, by intensity:
- 2θ = 30.45°, d = 2.935 Å, rel. 100, hkl 3 1 0
- 2θ = 39.10°, d = 2.304 Å, rel. 68, hkl 3 2 1
- 2θ = 34.75°, d = 2.582 Å, rel. 65, hkl 0 0 2
- 2θ = 46.87°, d = 1.938 Å, rel. 61, hkl 3 1 2
- 2θ = 13.49°, d = 6.563 Å, rel. 50, hkl 1 1 0
- 2θ = 43.87°, d = 2.064 Å, rel. 46, hkl 1 4 1
- 2θ = 27.57°, d = 3.235 Å, rel. 25, hkl 1 2 1
- 2θ = 27.17°, d = 3.282 Å, rel. 19, hkl 2 2 0
- 2θ = 38.81°, d = 2.320 Å, rel. 19, hkl 4 0 0
- 2θ = 63.58°, d = 1.463 Å, rel. 18, hkl 6 1 1

=====

This entry pairs a crystal structure of Ba2Sn2Pd15 with its theoretical powder diffractogram. Radiation: Cu Ka. Structure: a structure optimized by DFT (GGA-PBE).
Lines closer than 0.1° are merged.

a b c (Å): 9.4424 9.4424 13.9988
angles (deg): 90.00 90.00 120.00
Space group R-3m (No. 166, hexagonal axes)
One atom of each set of equivalent atoms:
Ba: 0.0000 0.0000 0.1472 (multiplicity 6)
Sn: 0.0000 0.0000 0.3946 (multiplicity 6)
Pd: 0.0000 0.2938 0.5000 (multiplicity 18)
Pd: 0.0000 0.5000 0.0000 (multiplicity 9)
Pd: 0.0045 0.5022 0.3460 (multiplicity 18)

Most intense lines, 5 to 70 degrees two-theta, by intensity:
- 2θ = 38.24°, d = 2.354 Å, rel. 100, hkl 3 0 3
- 2θ = 42.94°, d = 2.106 Å, rel. 84, hkl 2 2 3
- 2θ = 38.12°, d = 2.361 Å, rel. 74, hkl 2 2 0
- 2θ = 38.59°, d = 2.333 Å, rel. 41, hkl 0 0 6
- 2θ = 33.71°, d = 2.659 Å, rel. 40, hkl 0 2 4
- 2θ = 32.86°, d = 2.726 Å, rel. 39, hkl 3 0 0
- 2θ = 68.89°, d = 1.363 Å, rel. 26, hkl 6 0 0
- 2θ = 43.25°, d = 2.092 Å, rel. 23, hkl 1 1 6
- 2θ = 69.59°, d = 1.351 Å, rel. 23, hkl 3 0 9
- 2θ = 38.87°, d = 2.317 Å, rel. 20, hkl 2 1 4

=====

This entry pairs a crystal structure of BaSnPd3 with its theoretical powder diffractogram. Radiation: Cu Ka. Structure: a structure optimized by DFT (GGA-PBE).
Lines closer than 0.1° are merged.

a b c (Å): 5.819 9.585 8.862
angles (deg): 90.00 90.00 90.00
Space group Imma (No. 74)
One atom of each set of equivalent atoms:
Ba: 0.000 0.250 0.044 (multiplicity 4)
Sn: 0.000 0.000 0.500 (multiplicity 4)
Pd: 0.000 0.250 0.642 (multiplicity 4)
Pd: 0.250 0.026 0.750 (multiplicity 8)

Most intense lines, 5 to 70 degrees two-theta, by intensity:
- 2θ = 36.96°, d = 2.432 Å, rel. 100, hkl 2 0 2
- 2θ = 39.02°, d = 2.308 Å, rel. 90, hkl 1 2 3
- 2θ = 26.10°, d = 3.414 Å, rel. 88, hkl 1 2 1
- 2θ = 26.95°, d = 3.309 Å, rel. 77, hkl 1 1 2
- 2θ = 37.53°, d = 2.396 Å, rel. 74, hkl 0 4 0
- 2θ = 36.12°, d = 2.487 Å, rel. 61, hkl 2 2 0
- 2θ = 53.70°, d = 1.707 Å, rel. 54, hkl 2 4 2
- 2θ = 13.61°, d = 6.507 Å, rel. 46, hkl 0 1 1
- 2θ = 41.64°, d = 2.169 Å, rel. 46, hkl 2 2 2
- 2θ = 45.08°, d = 2.011 Å, rel. 42, hkl 0 2 4

=====

This entry pairs a crystal structure of BaSn12Pd4 with its theoretical powder diffractogram. Radiation: Cu Ka. Structure: a structure optimized by DFT (GGA-PBE).
Lines closer than 0.1° are merged.

a b c (Å): 9.579 9.579 9.579
angles (deg): 90.00 90.00 90.00
Space group Im-3 (No. 204)
One atom of each set of equivalent atoms:
Ba: 0.000 0.000 0.000 (multiplicity 2)
Sn: 0.000 0.347 0.161 (multiplicity 24)
Pd: 0.250 0.250 0.250 (multiplicity 8)

Most intense lines, 5 to 70 degrees two-theta, by intensity:
- 2θ = 29.49°, d = 3.029 Å, rel. 100, hkl 3 0 1
- 2θ = 35.05°, d = 2.560 Å, rel. 41, hkl 3 1 2
- 2θ = 46.44°, d = 1.955 Å, rel. 33, hkl 4 2 2
- 2θ = 48.46°, d = 1.879 Å, rel. 32, hkl 4 3 1
- 2θ = 42.19°, d = 2.142 Å, rel. 26, hkl 4 0 2
- 2θ = 66.16°, d = 1.412 Å, rel. 19, hkl 6 1 3
- 2θ = 55.97°, d = 1.643 Å, rel. 10, hkl 5 3 0
- 2θ = 69.37°, d = 1.355 Å, rel. 8, hkl 5 4 3
- 2θ = 57.75°, d = 1.597 Å, rel. 7, hkl 6 0 0
- 2θ = 61.19°, d = 1.515 Å, rel. 7, hkl 6 2 0

=====

This entry pairs a crystal structure of BaSn4Pd12 with its theoretical powder diffractogram. Radiation: Cu Ka. Structure: a structure optimized by DFT (GGA-PBE).
Lines closer than 0.1° are merged.

a b c (Å): 9.000 9.000 9.000
angles (deg): 90.00 90.00 90.00
Space group Im-3 (No. 204)
One atom of each set of equivalent atoms:
Ba: 0.000 0.000 0.000 (multiplicity 2)
Sn: 0.250 0.250 0.250 (multiplicity 8)
Pd: 0.000 0.153 0.355 (multiplicity 24)

Most intense lines, 5 to 70 degrees two-theta, by intensity:
- 2θ = 31.43°, d = 2.846 Å, rel. 100, hkl 3 1 0
- 2θ = 51.80°, d = 1.765 Å, rel. 40, hkl 4 1 3
- 2θ = 37.39°, d = 2.405 Å, rel. 37, hkl 3 2 1
- 2θ = 49.62°, d = 1.837 Å, rel. 36, hkl 4 2 2
- 2θ = 45.05°, d = 2.012 Å, rel. 34, hkl 4 2 0
- 2θ = 28.04°, d = 3.182 Å, rel. 18, hkl 2 2 0
- 2θ = 65.61°, d = 1.423 Å, rel. 11, hkl 6 0 2
- 2θ = 69.25°, d = 1.357 Å, rel. 5, hkl 6 2 2
- 2θ = 59.93°, d = 1.543 Å, rel. 5, hkl 5 0 3
- 2θ = 47.38°, d = 1.919 Å, rel. 4, hkl 3 3 2